Na2MoAs2O9: computed X-ray powder pattern (CuKα), based on the GGA+U geometry in the Materials Project.
Peak positions follow from Bragg's law for the DFT cell and can differ from measured ones.

Largest 10 diffraction maxima, most intense first, 10° ≤ 2θ ≤ 90°:
hkl 0 1 1, 2θ = 11.54°, rel. 100
hkl 0 2 1, 2θ = 17.00°, rel. 85
hkl 0 3 1, 2θ = 23.48°, rel. 81
hkl 1 1 2, 2θ = 25.02°, rel. 74
hkl 1 1 0, 2θ = 14.39°, rel. 70
hkl 1 0 -2, 2θ = 20.01°, rel. 68
hkl 1 4 1, 2θ = 33.65°, rel. 56
hkl 2 1 -2, 2θ = 29.09°, rel. 55
hkl 3 1 0, 2θ = 38.69°, rel. 52
hkl 1 1 -1, 2θ = 15.72°, rel. 44

Lattice parameters (Å, degrees): 7.230 12.323 9.974 90.00 100.75 90.00
Element x y z (fractional)
Na 0.004 0.000 0.243
Na 0.132 0.395 0.382
Na 0.134 0.081 0.884
Na 0.469 0.486 0.725
Na 0.531 0.986 0.275
Na 0.866 0.581 0.116
Na 0.868 0.895 0.618
Na 0.996 0.500 0.757
Mo 0.359 0.668 0.206
Mo 0.359 0.809 0.707
Mo 0.641 0.168 0.794
Mo 0.641 0.309 0.293
As 0.078 0.821 0.963
As 0.080 0.656 0.463
As 0.310 0.060 0.545
As 0.310 0.417 0.044
As 0.690 0.560 0.455
As 0.690 0.917 0.956
As 0.920 0.156 0.537
As 0.922 0.321 0.037
O 0.100 0.659 0.295
O 0.100 0.816 0.796
O 0.135 0.937 0.048
O 0.138 0.540 0.550
O 0.158 0.698 0.038
O 0.158 0.779 0.539
O 0.168 0.181 0.547
O 0.170 0.295 0.047
O 0.234 0.976 0.661
O 0.235 0.501 0.160
O 0.288 0.457 0.883
O 0.291 0.020 0.384
O 0.401 0.673 0.747
O 0.403 0.803 0.248
O 0.453 0.131 0.870
O 0.454 0.345 0.371
O 0.464 0.609 0.393
O 0.465 0.868 0.893
O 0.535 0.368 0.107
O 0.536 0.109 0.607
O 0.546 0.845 0.629
O 0.547 0.631 0.130
O 0.597 0.303 0.752
O 0.599 0.173 0.253
O 0.709 0.520 0.616
O 0.712 0.957 0.117
O 0.765 0.001 0.840
O 0.766 0.476 0.339
O 0.830 0.795 0.953
O 0.832 0.681 0.453
O 0.842 0.198 0.962
O 0.842 0.279 0.461
O 0.862 0.040 0.450
O 0.865 0.437 0.952
O 0.900 0.159 0.705
O 0.900 0.316 0.204